No. 1
The following is a theoretical powder XRD pattern of NbBiBrO4. It was derived from the GGA-PBE geometry in Alexandria, using a wavelength of 1.5418 Å.
Kinematic intensities with the Lorentz-polarization factor, no thermal factor.

Structural model:
Cell: 12.0582 6.9271 7.1959 Å, 90.00 104.25 90.00°
Space group C2/m (No. 12)
Unique sites:
Nb1 0.1308 0.0000 0.2690 (multiplicity 4)
Bi1 0.2178 0.0000 0.8395 (multiplicity 4)
Br1 0.0171 0.5000 0.6647 (multiplicity 4)
O1 0.0278 0.0000 0.7709 (multiplicity 4)
O2 0.1798 0.2092 0.1409 (multiplicity 8)
O3 0.2030 0.0000 0.5306 (multiplicity 4)

Main lines, by angle (2θ from 10° to 90°):
- (1 1 1), 2θ = 20.79°, intensity 47.1
- (0 2 0), 2θ = 25.72°, intensity 100.0
- (3 1 0), 2θ = 26.25°, intensity 97.7
- (3 1 -1), 2θ = 26.62°, intensity 55.2
- (1 1 -2), 2θ = 27.98°, intensity 65.5
- (0 4 0), 2θ = 52.87°, intensity 57.0

=====

No. 2
The following is a theoretical powder XRD pattern of BiPbBrO2. It was derived from the GGA-PBE geometry in Alexandria, using a wavelength of 1.5418 Å.
Kinematic intensities with the Lorentz-polarization factor, no thermal factor.

Structural model:
Cell: 4.0104 4.0104 13.3540 Å, 90.00 90.00 90.00°
Space group I4mm (No. 107)
Unique sites:
Bi1 0.0000 0.0000 0.0000 (multiplicity 2)
Pb1 0.0000 0.0000 0.3153 (multiplicity 2)
Br1 0.0000 0.0000 0.6476 (multiplicity 2)
O1 0.0000 0.5000 0.4165 (multiplicity 4)

Main lines, by angle (2θ from 10° to 90°):
- (1 0 1), 2θ = 23.16°, intensity 15.8
- (1 0 3), 2θ = 29.99°, intensity 100.0
- (1 1 0), 2θ = 31.55°, intensity 39.1
- (2 0 0), 2θ = 45.22°, intensity 19.2
- (1 1 6), 2θ = 52.25°, intensity 22.2
- (2 1 3), 2θ = 55.22°, intensity 37.0

=====

No. 3
The following is a theoretical powder XRD pattern of Sr2BiBrO3. It was derived from the GGA-PBE geometry in Alexandria, using a wavelength of 1.5418 Å.
Kinematic intensities with the Lorentz-polarization factor, no thermal factor.

Structural model:
Cell: 7.2559 7.2559 21.1128 Å, 90.00 90.00 120.00°
Space group R-3m (No. 166, hexagonal axes)
Unique sites:
Sr1 0.0000 0.0000 0.0000 (multiplicity 3)
Sr2 0.0000 0.5000 0.5000 (multiplicity 9)
Bi1 0.0000 0.0000 0.4085 (multiplicity 6)
Br1 0.0000 0.0000 0.2679 (multiplicity 6)
O1 0.0131 0.5065 0.7656 (multiplicity 18)

Main lines, by angle (2θ from 10° to 90°):
- (1 1 0), 2θ = 24.54°, intensity 100.0
- (0 1 5), 2θ = 25.41°, intensity 67.1
- (0 2 1), 2θ = 28.73°, intensity 65.1
- (1 0 7), 2θ = 32.94°, intensity 53.1
- (1 1 6), 2θ = 35.55°, intensity 69.1
- (2 2 0), 2θ = 50.30°, intensity 50.8

=====

No. 4
The following is a theoretical powder XRD pattern of SrBi2Br2O3. It was derived from the GGA-PBE geometry in Alexandria, using a wavelength of 1.5418 Å.
Kinematic intensities with the Lorentz-polarization factor, no thermal factor.

Structural model:
Cell: 4.0763 4.0763 22.0543 Å, 90.00 90.00 90.00°
Space group P4/nmm (No. 129, origin choice 2)
Unique sites:
Sr1 0.2500 0.2500 0.0532 (multiplicity 2)
Bi1 0.2500 0.2500 0.2535 (multiplicity 2)
Bi2 0.2500 0.2500 0.6383 (multiplicity 2)
Br1 0.2500 0.2500 0.4303 (multiplicity 2)
Br2 0.2500 0.2500 0.8272 (multiplicity 2)
O1 0.2500 0.7500 0.0000 (multiplicity 2)
O2 0.2500 0.7500 0.3055 (multiplicity 4)

Main lines, by angle (2θ from 10° to 90°):
- (0 0 3), 2θ = 12.04°, intensity 18.3
- (1 0 5), 2θ = 29.85°, intensity 100.0
- (1 1 0), 2θ = 31.03°, intensity 45.1
- (2 0 0), 2θ = 44.45°, intensity 22.7
- (1 1 10), 2θ = 52.23°, intensity 15.3
- (2 1 5), 2θ = 54.46°, intensity 37.5

=====

No. 5
The following is a theoretical powder XRD pattern of TaBi4BrO8. It was derived from the GGA-PBE geometry in Alexandria, using a wavelength of 1.5418 Å.
Kinematic intensities with the Lorentz-polarization factor, no thermal factor.

Structural model:
Cell: 5.5440 5.6056 29.9627 Å, 90.00 90.00 90.00°
Space group Pbcn (No. 60)
Unique sites:
Ta1 0.0000 0.0200 0.2500 (multiplicity 4)
Bi1 0.0101 0.0136 0.5721 (multiplicity 8)
Bi2 0.0238 0.4437 0.3414 (multiplicity 8)
Br1 0.0000 0.5000 0.0000 (multiplicity 4)
O1 0.0989 0.0712 0.3135 (multiplicity 8)
O2 0.2438 0.2408 0.1093 (multiplicity 8)
O3 0.2475 0.2541 0.8919 (multiplicity 8)
O4 0.2477 0.3003 0.2355 (multiplicity 8)

Main lines, by angle (2θ from 10° to 90°):
- (1 1 6), 2θ = 28.86°, intensity 100.0
- (0 2 0), 2θ = 31.93°, intensity 16.3
- (2 0 0), 2θ = 32.29°, intensity 18.4
- (2 2 0), 2θ = 46.05°, intensity 16.3
- (1 3 6), 2θ = 55.02°, intensity 11.2
- (3 1 6), 2θ = 55.50°, intensity 16.4

=====

No. 6
The following is a theoretical powder XRD pattern of TcBiBrO4. It was derived from the GGA-PBE geometry in Alexandria, using a wavelength of 1.5418 Å.
Kinematic intensities with the Lorentz-polarization factor, no thermal factor.

Structural model:
Cell: 10.9738 7.2661 7.1243 Å, 90.00 104.71 90.00°
Space group C2/m (No. 12)
Unique sites:
Tc1 0.1336 0.0000 0.2778 (multiplicity 4)
Bi1 0.2161 0.5000 0.0913 (multiplicity 4)
Br1 0.0176 0.5000 0.7552 (multiplicity 4)
O1 0.0294 0.0000 0.7688 (multiplicity 4)
O2 0.1912 0.1776 0.1356 (multiplicity 8)
O3 0.2192 0.0000 0.5193 (multiplicity 4)

Main lines, by angle (2θ from 10° to 90°):
- (0 0 1), 2θ = 12.85°, intensity 71.5
- (2 0 1), 2θ = 23.62°, intensity 56.2
- (0 2 0), 2θ = 24.50°, intensity 100.0
- (3 1 -1), 2θ = 28.08°, intensity 67.9
- (3 1 -2), 2θ = 33.70°, intensity 51.4
- (3 3 -1), 2θ = 45.37°, intensity 39.0

=====

No. 7
The following is a theoretical powder XRD pattern of BiPbBr5. It was derived from the GGA-PBE geometry in Alexandria, using a wavelength of 1.5418 Å.
Kinematic intensities with the Lorentz-polarization factor, no thermal factor.

Structural model:
Cell: 8.4727 4.3354 14.1277 Å, 90.00 93.97 90.00°
Space group P2_1/m (No. 11)
Unique sites:
Bi1 0.0891 0.2500 0.1488 (multiplicity 2)
Pb1 0.4134 0.7500 0.3605 (multiplicity 2)
Br1 0.1169 0.2500 0.7964 (multiplicity 2)
Br2 0.1443 0.2500 0.3595 (multiplicity 2)
Br3 0.1853 0.7500 0.0159 (multiplicity 2)
Br4 0.3496 0.7500 0.5684 (multiplicity 2)
Br5 0.4297 0.2500 0.1836 (multiplicity 2)

Main lines, by angle (2θ from 10° to 90°):
- (1 0 -1), 2θ = 11.83°, intensity 100.0
- (1 1 1), 2θ = 24.11°, intensity 30.1
- (2 1 0), 2θ = 29.51°, intensity 58.4
- (3 0 1), 2θ = 32.80°, intensity 28.9
- (2 1 4), 2θ = 40.23°, intensity 28.0
- (3 0 -5), 2θ = 43.85°, intensity 27.0

=====

No. 8
The following is a theoretical powder XRD pattern of BiPb3Br3. It was derived from the GGA-PBE geometry in Alexandria, using a wavelength of 1.5418 Å.
Kinematic intensities with the Lorentz-polarization factor, no thermal factor.

Structural model:
Cell: 9.2025 4.6294 12.9144 Å, 90.00 93.79 90.00°
Space group P2_1/m (No. 11)
Unique sites:
Bi1 0.1368 0.2500 0.1323 (multiplicity 2)
Pb1 0.1049 0.2500 0.8823 (multiplicity 2)
Pb2 0.1598 0.2500 0.3815 (multiplicity 2)
Pb3 0.3776 0.7500 0.1334 (multiplicity 2)
Br1 0.0679 0.2500 0.6271 (multiplicity 2)
Br2 0.3636 0.7500 0.8917 (multiplicity 2)
Br3 0.3826 0.7500 0.3730 (multiplicity 2)

Main lines, by angle (2θ from 10° to 90°):
- (2 1 0), 2θ = 27.36°, intensity 100.0
- (0 0 4), 2θ = 27.69°, intensity 51.2
- (2 1 -4), 2θ = 38.35°, intensity 40.1
- (0 2 0), 2θ = 38.91°, intensity 21.9
- (2 1 4), 2θ = 40.27°, intensity 36.2
- (0 2 4), 2θ = 48.42°, intensity 22.6